Record 1
Ac5Tb4Y: theoretical powder diffractogram (Cu Kα X-rays), based on the PBE geometry in Alexandria.

Most intense lines, 10° ≤ 2θ ≤ 90°, low angle first:
2theta	d_spacing	intensity
29.2	3.061	54
30.1	2.965	100
41.7	2.164	21
52.3	1.748	44
54.1	1.694	20
62.7	1.482	13
84.1	1.151	12
85.5	1.136	11

Cell: 4.329 4.329 20.342 Å, 90.00 90.00 90.00°
Element x y z (fractional)
Ac 0.000 0.000 0.000
Ac 0.000 0.000 0.199
Ac 0.000 0.000 0.399
Ac 0.000 0.000 0.601
Ac 0.000 0.000 0.801
Tb 0.500 0.500 0.099
Tb 0.500 0.500 0.299
Tb 0.500 0.500 0.701
Tb 0.500 0.500 0.901
Y 0.500 0.500 0.500



Record 2
AcTb4Y7: theoretical powder diffractogram (Cu Kα X-rays), based on the PBE geometry in Alexandria.

Most intense lines, 10° ≤ 2θ ≤ 90°, low angle first:
2theta	d_spacing	intensity
28.6	3.124	39
30.8	2.900	52
31.6	2.834	100
33.2	2.695	94
50.2	1.818	26
54.2	1.693	20
57.4	1.604	20
60.1	1.540	30

Cell: 6.287 7.275 8.952 Å, 90.03 103.58 90.05°
Element x y z (fractional)
Ac 0.000 0.000 0.000
Tb 0.221 0.499 0.664
Tb 0.279 0.747 0.337
Tb 0.721 0.253 0.663
Tb 0.779 0.501 0.336
Y 0.000 0.500 0.000
Y 0.224 0.999 0.661
Y 0.281 0.254 0.337
Y 0.500 0.254 0.999
Y 0.500 0.746 0.001
Y 0.719 0.746 0.663
Y 0.776 0.001 0.339



Record 3
AcTb15Y4: theoretical powder diffractogram (Cu Kα X-rays), based on the PBE geometry in Alexandria.

Most intense lines, 10° ≤ 2θ ≤ 90°, low angle first:
2theta	d_spacing	intensity
30.5	2.928	100
35.4	2.536	50
50.9	1.793	36
60.5	1.530	13
60.6	1.529	29
63.5	1.464	12
83.0	1.164	11
85.7	1.134	16

Cell: 5.071 5.071 25.368 Å, 90.00 90.00 90.00°
Element x y z (fractional)
Ac 0.000 0.000 0.000
Tb 0.000 0.500 0.105
Tb 0.000 0.500 0.302
Tb 0.000 0.500 0.500
Tb 0.000 0.500 0.698
Tb 0.000 0.500 0.895
Tb 0.500 0.000 0.105
Tb 0.500 0.000 0.302
Tb 0.500 0.000 0.500
Tb 0.500 0.000 0.698
Tb 0.500 0.000 0.895
Tb 0.500 0.500 0.000
Tb 0.500 0.500 0.204
Tb 0.500 0.500 0.401
Tb 0.500 0.500 0.599
Tb 0.500 0.500 0.796
Y 0.000 0.000 0.203
Y 0.000 0.000 0.401
Y 0.000 0.000 0.599
Y 0.000 0.000 0.797



Record 4
AcTb5Y3: theoretical powder diffractogram (Cu Kα X-rays), based on the PBE geometry in Alexandria.

Most intense lines, 10° ≤ 2θ ≤ 90°, low angle first:
2theta	d_spacing	intensity
26.3	3.386	19
29.0	3.079	44
30.2	2.957	100
32.6	2.745	40
37.2	2.420	21
38.4	2.346	25
40.9	2.207	25
57.3	1.607	21

Cell: 10.686 10.686 10.686 Å, 139.90 67.69 127.94°
Element x y z (fractional)
Ac 0.310 0.060 0.250
Ac 0.690 0.940 0.750
Tb 0.156 0.326 0.337
Tb 0.156 0.819 0.830
Tb 0.324 0.574 0.750
Tb 0.489 0.326 0.670
Tb 0.489 0.819 0.163
Tb 0.511 0.181 0.837
Tb 0.511 0.674 0.330
Tb 0.676 0.426 0.250
Tb 0.844 0.181 0.170
Tb 0.844 0.674 0.663
Y 0.000 0.000 0.500
Y 0.000 0.500 0.000
Y 0.181 0.249 0.932
Y 0.182 0.751 0.432
Y 0.818 0.249 0.568
Y 0.819 0.751 0.068



Record 5
Ac3Tb8Y: theoretical powder diffractogram (Cu Kα X-rays), based on the PBE geometry in Alexandria.

Most intense lines, 10° ≤ 2θ ≤ 90°, low angle first:
2theta	d_spacing	intensity
21.8	4.076	26
30.5	2.930	100
30.9	2.896	52
31.2	2.868	25
31.4	2.849	47
34.9	2.571	28
50.2	1.816	25
63.5	1.465	25

Cell: 8.933 8.933 8.933 Å, 137.03 99.15 96.28°
Element x y z (fractional)
Ac 0.000 0.000 0.000
Ac 0.256 0.500 0.756
Ac 0.744 0.500 0.244
Tb 0.077 0.825 0.252
Tb 0.261 0.015 0.754
Tb 0.261 0.507 0.246
Tb 0.427 0.175 0.252
Tb 0.573 0.825 0.748
Tb 0.739 0.493 0.754
Tb 0.739 0.985 0.246
Tb 0.923 0.175 0.748
Y 0.500 0.000 0.500



Record 6
AcTb2Y2: theoretical powder diffractogram (Cu Kα X-rays), based on the PBE geometry in Alexandria.

Most intense lines, 10° ≤ 2θ ≤ 90°, low angle first:
2theta	d_spacing	intensity
27.0	3.299	32
29.6	3.015	27
30.4	2.943	51
30.7	2.909	82
33.4	2.686	100
50.5	1.807	23
60.1	1.540	27
60.6	1.528	23

Cell: 9.569 9.569 9.569 Å, 144.18 135.93 58.04°
Element x y z (fractional)
Ac 0.367 0.117 0.250
Ac 0.633 0.883 0.750
Tb 0.183 0.690 0.493
Tb 0.303 0.310 0.993
Tb 0.697 0.690 0.007
Tb 0.817 0.310 0.507
Y 0.129 0.879 0.250
Y 0.248 0.498 0.750
Y 0.752 0.502 0.250
Y 0.871 0.121 0.750